1.
# Hg2TeO5
Calculated X-ray powder pattern, Cu Kα. Input: the PBE geometry in OQMD.

Structural model:
```
32
Lattice="7.370 0.000 0.000 0.000 5.884 0.000 0.000 0.000 10.033" Properties=species:S:1:pos:R:3 pbc="T T T"
Hg 0.131 1.353 0.000
Hg 1.731 1.329 3.380
Hg 1.954 4.272 8.396
Hg 3.555 4.295 5.016
Hg 3.816 1.589 0.000
Hg 5.416 1.613 3.380
Hg 5.640 4.555 8.396
Hg 7.240 4.531 5.016
Te 0.983 4.356 1.669
Te 2.703 1.414 6.685
Te 4.668 4.471 1.669
Te 6.388 1.528 6.685
O 0.364 0.243 2.212
O 0.610 4.943 9.860
O 0.880 2.256 6.685
O 1.247 3.798 3.499
O 1.610 2.663 1.027
O 2.075 5.606 6.043
O 2.438 0.856 8.515
O 2.805 5.198 1.669
O 3.075 2.000 4.843
O 3.321 3.186 7.229
O 4.049 2.699 2.212
O 4.295 3.884 9.860
O 4.565 0.686 6.685
O 4.932 5.029 3.499
O 5.296 0.279 1.027
O 5.760 3.221 6.043
O 6.123 2.087 8.515
O 6.491 3.629 1.669
O 6.761 0.942 4.843
O 7.007 5.641 7.229
```

Most intense lines, 2θ = 10–90°, in order of falling intensity:
2θ = 30.75°, I = 100.0
2θ = 29.96°, I = 88.3
2θ = 30.38°, I = 49.2
2θ = 30.09°, I = 45.3
2θ = 43.29°, I = 37.3
2θ = 52.88°, I = 26.3

---

2.
# Zr2BrF
Calculated X-ray powder pattern, Cu Kα. Input: the PBE geometry in OQMD.

Structural model:
```
4
Lattice="1.699 0.981 8.443 -1.699 0.981 8.443 0.000 -1.961 8.443" Properties=species:S:1:pos:R:3 pbc="T T T"
Zr 0.000 0.000 0.000
Zr 0.000 0.000 6.076
Br 0.000 0.000 12.579
F 0.000 0.000 18.123
```

Most intense lines, 2θ = 10–90°, in order of falling intensity:
2θ = 33.59°, I = 100.0
2θ = 41.92°, I = 46.8
2θ = 10.48°, I = 33.4
2θ = 53.98°, I = 25.6
2θ = 71.26°, I = 16.0
2θ = 65.10°, I = 13.6

---

3.
# NaDyHgSe3
Calculated X-ray powder pattern, Cu Kα. Input: the PBE geometry in OQMD.

Structural model:
```
24
Lattice="12.872 0.000 0.000 0.000 4.148 0.000 0.000 0.000 12.244" Properties=species:S:1:pos:R:3 pbc="T T T"
Na 1.666 1.037 0.086
Na 4.770 3.111 6.208
Na 8.102 1.037 6.036
Na 11.206 3.111 12.158
Dy 0.673 1.037 8.222
Dy 5.763 3.111 2.100
Dy 7.109 1.037 10.144
Dy 12.199 3.111 4.022
Hg 3.007 1.037 3.579
Hg 3.429 3.111 9.701
Hg 9.443 1.037 2.543
Hg 9.865 3.111 8.665
Se 0.773 3.111 10.299
Se 0.963 1.037 5.189
Se 2.993 3.111 1.763
Se 3.443 1.037 7.885
Se 5.473 3.111 11.311
Se 5.664 1.037 4.177
Se 7.209 3.111 8.067
Se 7.399 1.037 0.933
Se 9.429 3.111 4.359
Se 9.879 1.037 10.481
Se 11.909 3.111 7.055
Se 12.100 1.037 1.945
```

Most intense lines, 2θ = 10–90°, in order of falling intensity:
2θ = 31.53°, I = 100.0
2θ = 14.47°, I = 95.6
2θ = 47.14°, I = 53.7
2θ = 23.68°, I = 53.0
2θ = 41.93°, I = 52.2
2θ = 28.68°, I = 49.9